Structure and computed powder diffractogram of SrAl5 (a DFT-relaxed cell (GGA-PBE, Alexandria); Cu Kα, 1.54184 Å).
Intensities are scaled so that the largest is 100.

The 10 most intense peaks (10 to 80 degrees two-theta), most intense first:
2θ/deg, I_rel
37.28, 100
27.16, 63
35.72, 40
30.81, 39
59.10, 25
56.02, 21
41.66, 21
52.59, 20
79.47, 19
64.17, 17

Structural model:
```
SrAl5
1.0
5.8050 0.0000 0.0000
-2.9025 5.0273 0.0000
0.0000 0.0000 4.3356
Sr Al
1 5
Direct
0.0000 0.0000 0.0000
0.0000 0.5000 0.5000
0.3333 0.6667 0.0000
0.5000 0.0000 0.5000
0.5000 0.5000 0.5000
0.6667 0.3333 0.0000
```


Structure and computed powder diffractogram of K2Sb4S7 (a DFT-relaxed cell (GGA-PBE, Alexandria); Cu Kα, 1.54184 Å).
Intensities are scaled so that the largest is 100.

The 10 most intense peaks (10 to 80 degrees two-theta), most intense first:
2θ/deg, I_rel
27.85, 100
24.82, 76
29.21, 68
17.41, 53
14.91, 50
31.17, 48
33.78, 34
42.33, 33
25.30, 32
22.57, 30

Structural model:
```
K2Sb4S7
1.0
5.2471 -4.0401 0.0000
5.2471 4.0401 0.0000
-1.2692 0.0000 17.8454
K Sb S
4 8 14
Direct
0.0484 0.2924 0.2037
0.2924 0.0484 0.7037
0.7076 0.9516 0.2963
0.9516 0.7076 0.7963
0.1340 0.1950 0.4653
0.1950 0.1340 0.9653
0.3551 0.6207 0.3805
0.3793 0.6449 0.1195
0.6207 0.3551 0.8805
0.6449 0.3793 0.6195
0.8050 0.8660 0.0347
0.8660 0.8050 0.5347
0.0111 0.7739 0.1572
0.0186 0.5258 0.3722
0.1816 0.7680 0.9623
0.2261 0.9889 0.3428
0.2320 0.8184 0.5377
0.4742 0.9814 0.1278
0.4981 0.5019 0.2500
0.5019 0.4981 0.7500
0.5258 0.0186 0.8722
0.7680 0.1816 0.4623
0.7739 0.0111 0.6572
0.8184 0.2320 0.0377
0.9814 0.4742 0.6278
0.9889 0.2261 0.8428
```


Structure and computed powder diffractogram of TmAgGe2S6 (a DFT-relaxed cell (GGA-PBE, Alexandria); Cu Kα, 1.54184 Å).
Intensities are scaled so that the largest is 100.

The 10 most intense peaks (10 to 80 degrees two-theta), most intense first:
2θ/deg, I_rel
26.77, 100
22.80, 88
27.95, 82
23.34, 76
28.28, 60
50.18, 54
47.67, 50
32.10, 48
21.17, 46
44.97, 46

Structural model:
```
TmAgGe2S6
1.0
6.3607 -5.8241 0.0000
6.3607 5.8241 0.0000
-2.0489 0.0000 6.3109
Tm Ag Ge S
2 2 4 12
Direct
0.1232 0.8768 0.7500
0.8768 0.1232 0.2500
0.2572 0.7428 0.2500
0.7428 0.2572 0.7500
0.2256 0.3767 0.7435
0.3767 0.2256 0.2435
0.6233 0.7744 0.7565
0.7744 0.6233 0.2565
0.0495 0.1814 0.6483
0.1160 0.6079 0.8846
0.1814 0.0495 0.1483
0.3023 0.4417 0.4705
0.3921 0.8840 0.6154
0.4417 0.3023 0.9705
0.5583 0.6977 0.0295
0.6079 0.1160 0.3846
0.6977 0.5583 0.5295
0.8186 0.9505 0.8517
0.8840 0.3921 0.1154
0.9505 0.8186 0.3517
```


Structure and computed powder diffractogram of Ca3Cd4Ag8 (a DFT-relaxed cell (GGA-PBE, Alexandria); Cu Kα, 1.54184 Å).
Intensities are scaled so that the largest is 100.

The 10 most intense peaks (10 to 80 degrees two-theta), most intense first:
2θ/deg, I_rel
36.77, 100
33.68, 27
43.42, 23
66.23, 23
38.52, 22
42.89, 17
12.81, 16
22.27, 14
78.23, 11
64.27, 10

Structural model:
```
Ca3Cd4Ag8
1.0
0.0000 6.9128 6.9128
6.9128 0.0000 6.9128
6.9128 6.9128 0.0000
Ca Cd Ag
6 8 16
Direct
0.2256 0.2256 0.7744
0.2256 0.7744 0.2256
0.2256 0.7744 0.7744
0.7744 0.2256 0.2256
0.7744 0.2256 0.7744
0.7744 0.7744 0.2256
0.0000 0.0000 0.0000
0.0000 0.0000 0.5000
0.0000 0.5000 0.0000
0.0000 0.5000 0.5000
0.5000 0.0000 0.0000
0.5000 0.0000 0.5000
0.5000 0.5000 0.0000
0.5000 0.5000 0.5000
0.1343 0.6219 0.6219
0.1695 0.1695 0.1695
0.1695 0.1695 0.4916
0.1695 0.4916 0.1695
0.3781 0.3781 0.3781
0.3781 0.3781 0.8657
0.3781 0.8657 0.3781
0.4916 0.1695 0.1695
0.5084 0.8305 0.8305
0.6219 0.1343 0.6219
0.6219 0.6219 0.1343
0.6219 0.6219 0.6219
0.8305 0.5084 0.8305
0.8305 0.8305 0.5084
0.8305 0.8305 0.8305
0.8657 0.3781 0.3781
```


Structure and computed powder diffractogram of BeBiHPbN (a DFT-relaxed cell (GGA-PBE, Alexandria); Cu Kα, 1.54184 Å).
Intensities are scaled so that the largest is 100.

The 10 most intense peaks (10 to 80 degrees two-theta), most intense first:
2θ/deg, I_rel
12.36, 100
31.99, 71
26.57, 61
27.94, 56
41.49, 40
42.63, 33
30.51, 26
37.97, 23
37.69, 22
40.15, 21

Structural model:
```
BeBiHPbN
1.0
8.9944 0.0000 0.0000
0.0000 3.1120 0.0000
-1.8958 0.0000 7.1597
Be Bi H Pb N
2 2 2 2 2
Direct
0.0000 0.0000 0.0000
0.5000 0.5000 0.0000
0.2442 0.5000 0.6968
0.7442 0.0000 0.6968
0.1524 0.5000 0.1352
0.6524 0.0000 0.1352
0.4241 0.0000 0.4061
0.9241 0.5000 0.4061
0.0417 0.5000 0.0485
0.5417 0.0000 0.0485
```


Structure and computed powder diffractogram of ScAl4Cu4 (a DFT-relaxed cell (GGA-PBE, Alexandria); Cu Kα, 1.54184 Å).
Intensities are scaled so that the largest is 100.

The 10 most intense peaks (10 to 80 degrees two-theta), most intense first:
2θ/deg, I_rel
45.84, 100
39.58, 88
35.43, 78
32.35, 58
41.47, 56
23.25, 44
55.65, 40
74.41, 23
79.73, 22
50.97, 20

Structural model:
```
ScAl4Cu4
1.0
-4.0063 4.0063 2.1777
4.0063 -4.0063 2.1777
4.0063 4.0063 -2.1777
Sc Al Cu
1 4 4
Direct
0.0000 0.0000 0.0000
0.0908 0.6371 0.7279
0.3629 0.0908 0.4537
0.6371 0.9092 0.5463
0.9092 0.3629 0.2721
0.2939 0.3900 0.6838
0.3900 0.7061 0.0961
0.6100 0.2939 0.9039
0.7061 0.6100 0.3162
```


Structure and computed powder diffractogram of Zn3Bi3N5 (a DFT-relaxed cell (GGA-PBE, Alexandria); Cu Kα, 1.54184 Å).
Intensities are scaled so that the largest is 100.

The 10 most intense peaks (10 to 80 degrees two-theta), most intense first:
2θ/deg, I_rel
31.09, 100
29.22, 76
29.80, 64
37.22, 64
30.32, 61
34.77, 56
32.58, 40
28.62, 38
29.58, 38
34.98, 38

Structural model:
```
Zn3Bi3N5
1.0
6.3109 0.0000 0.0000
0.3636 6.3942 0.0000
0.4637 1.5612 9.3563
Zn Bi N
6 6 10
Direct
0.0955 0.4472 0.2181
0.1148 0.8174 0.9856
0.2976 0.3993 0.5440
0.7024 0.6007 0.4560
0.8852 0.1826 0.0144
0.9045 0.5528 0.7819
0.1236 0.9565 0.3393
0.3846 0.3036 0.9218
0.3869 0.8077 0.6651
0.6131 0.1923 0.3349
0.6154 0.6964 0.0782
0.8764 0.0435 0.6607
0.1530 0.0520 0.1035
0.2138 0.4962 0.7297
0.2621 0.2653 0.3702
0.2829 0.5590 0.0501
0.3819 0.7375 0.4446
0.6181 0.2625 0.5554
0.7171 0.4410 0.9499
0.7379 0.7347 0.6298
0.7862 0.5038 0.2703
0.8470 0.9480 0.8965
```


Structure and computed powder diffractogram of KAg2RhF6 (a DFT-relaxed cell (GGA-PBE, Alexandria); Cu Kα, 1.54184 Å).
Intensities are scaled so that the largest is 100.

The 10 most intense peaks (10 to 80 degrees two-theta), most intense first:
2θ/deg, I_rel
28.61, 100
29.36, 96
17.48, 47
51.15, 46
41.46, 45
50.68, 33
34.69, 17
67.48, 16
54.69, 15
64.28, 15

Structural model:
```
KAg2RhF6
1.0
3.1197 1.8011 4.9088
-3.1197 1.8011 4.9088
0.0000 -3.6023 4.9088
K Ag Rh F
1 2 1 6
Direct
0.0000 0.0000 0.0000
0.2699 0.2699 0.2699
0.7301 0.7301 0.7301
0.5000 0.5000 0.5000
0.1590 0.6863 0.4159
0.3137 0.5841 0.8410
0.4159 0.1590 0.6863
0.5841 0.8410 0.3137
0.6863 0.4159 0.1590
0.8410 0.3137 0.5841
```


Structure and computed powder diffractogram of Ac2Al4CuPd3 (a DFT-relaxed cell (GGA-PBE, Alexandria); Cu Kα, 1.54184 Å).
Intensities are scaled so that the largest is 100.

The 10 most intense peaks (10 to 80 degrees two-theta), most intense first:
2θ/deg, I_rel
33.16, 100
32.78, 86
40.26, 58
52.85, 45
28.17, 38
21.62, 37
48.47, 35
64.78, 28
68.69, 25
58.24, 20

Structural model:
```
Ac2Al4CuPd3
1.0
4.4805 0.0000 0.0000
0.0000 4.4805 0.0000
0.0000 0.0000 10.3421
Ac Al Cu Pd
2 4 1 3
Direct
0.0000 0.5000 0.2461
0.5000 0.0000 0.7539
0.0000 0.0000 0.5000
0.0000 0.5000 0.8838
0.5000 0.0000 0.1162
0.5000 0.5000 0.5000
0.5000 0.5000 0.0000
0.0000 0.0000 0.0000
0.0000 0.5000 0.6304
0.5000 0.0000 0.3696
```


Structure and computed powder diffractogram of RbSiBr6 (a DFT-relaxed cell (GGA-PBE, Alexandria); Cu Kα, 1.54184 Å).
Intensities are scaled so that the largest is 100.

The 10 most intense peaks (10 to 80 degrees two-theta), most intense first:
2θ/deg, I_rel
27.66, 100
29.49, 68
34.46, 63
27.05, 60
33.18, 59
16.55, 45
29.65, 41
31.30, 34
51.17, 32
41.83, 30

Structural model:
```
RbSiBr6
1.0
8.9854 0.0000 0.0000
0.0000 9.6958 0.0000
-2.6287 0.0000 6.5011
Rb Si Br
2 2 12
Direct
0.0000 0.0000 0.0000
0.5000 0.5000 0.0000
0.0000 0.5000 0.5000
0.5000 0.0000 0.5000
0.1182 0.3244 0.7562
0.1182 0.6756 0.7562
0.2376 0.5000 0.4199
0.2624 0.0000 0.5801
0.3818 0.1756 0.2438
0.3818 0.8244 0.2438
0.6182 0.1756 0.7562
0.6182 0.8244 0.7562
0.7376 0.0000 0.4199
0.7624 0.5000 0.5801
0.8818 0.3244 0.2438
0.8818 0.6756 0.2438
```


Structure and computed powder diffractogram of Tb3Pm8Er2 (a DFT-relaxed cell (GGA-PBE, Alexandria); Cu Kα, 1.54184 Å).
Intensities are scaled so that the largest is 100.

The 9 most intense peaks (10 to 80 degrees two-theta), most intense first:
2θ/deg, I_rel
30.34, 100
35.18, 51
60.13, 32
50.63, 24
50.55, 12
60.22, 11
63.08, 9
74.37, 6
63.24, 3

Structural model:
```
Tb3Pm8Er2
1.0
6.2395 0.0000 0.0000
-1.0327 8.0084 0.0000
-0.0145 -4.0705 8.6388
Tb Pm Er
3 8 2
Direct
0.0000 0.0000 0.0000
0.3841 0.3086 0.5393
0.6159 0.6914 0.4607
0.0766 0.4615 0.3065
0.1549 0.9247 0.6163
0.3067 0.8443 0.2296
0.4628 0.7679 0.8470
0.5372 0.2321 0.1530
0.6933 0.1557 0.7704
0.8451 0.0753 0.3837
0.9234 0.5385 0.6935
0.2314 0.3851 0.9233
0.7686 0.6149 0.0767
```


Structure and computed powder diffractogram of Ba8H2N (a DFT-relaxed cell (GGA-PBE, Alexandria); Cu Kα, 1.54184 Å).
Intensities are scaled so that the largest is 100.

The 10 most intense peaks (10 to 80 degrees two-theta), most intense first:
2θ/deg, I_rel
24.66, 100
25.12, 99
25.25, 53
25.72, 50
37.00, 22
34.60, 19
10.66, 17
44.69, 17
45.27, 15
26.59, 15

Structural model:
```
Ba8H2N
1.0
6.9314 -5.1820 0.0000
6.9314 5.1820 0.0000
-0.2459 0.0000 7.0550
Ba H N
8 2 1
Direct
0.0932 0.7035 0.7037
0.1457 0.1457 0.7662
0.2965 0.9068 0.2963
0.3726 0.3726 0.2202
0.6274 0.6274 0.7798
0.7035 0.0932 0.7037
0.8543 0.8543 0.2338
0.9068 0.2965 0.2963
0.1884 0.1884 0.1469
0.8116 0.8116 0.8531
0.0000 0.0000 0.5000
```